(1)
Calculated X-ray powder pattern
Compound: H6PtRhPb2
Radiation: Cu Kα (weighted mean of Kα1 and Kα2)
Structure: a crystal structure in Alexandria, relaxed with PBE

Atomic structure:
a b c (Å): 4.7795 4.7795 5.8058
angles (deg): 103.47 103.47 91.15
Sites, in units of the cell vectors:
H 0.0000 0.0000 0.0000
H 0.1840 0.1840 0.7988
H 0.1836 0.6922 0.7882
H 0.4997 0.4997 0.0344
H 0.6922 0.1836 0.7882
H 0.6967 0.6967 0.8085
Pt 0.4216 0.4216 0.7330
Rh 0.9105 0.9105 0.7036
Pb 0.3130 0.8157 0.3551
Pb 0.8157 0.3130 0.3551

Most intense lines, 5 to 70 degrees two-theta, low angle first:
d_spacing  I_rel
5.475  480
3.239  204
3.155  287
2.897  1000
2.737  240
2.525  404
2.408  336
2.350  514
2.317  411
2.135  281


(2)
Calculated X-ray powder pattern
Compound: CoRe2W
Radiation: Cu Kα (weighted mean of Kα1 and Kα2)
Structure: a crystal structure in Alexandria, relaxed with PBE

Atomic structure:
a b c (Å): 8.9462 2.7366 4.7449
angles (deg): 90.00 99.90 90.00
Sites, in units of the cell vectors:
Co 0.0000 0.0000 0.0000
Co 0.5000 0.5000 0.0000
Re 0.2423 0.5000 0.2365
Re 0.2577 0.0000 0.7635
Re 0.7423 0.0000 0.2365
Re 0.7577 0.5000 0.7635
W 0.0000 0.5000 0.5000
W 0.5000 0.0000 0.5000

Most intense lines, 5 to 70 degrees two-theta, low angle first:
d_spacing  I_rel
4.406  77
2.962  67
2.614  52
2.232  1000
2.203  316
1.932  209
1.924  430
1.369  209
1.357  129
1.353  67


(3)
Calculated X-ray powder pattern
Compound: Mg4GeRh2
Radiation: Cu Kα (weighted mean of Kα1 and Kα2)
Structure: a crystal structure in Alexandria, relaxed with PBE

Atomic structure:
a b c (Å): 4.8528 4.8528 13.0589
angles (deg): 90.00 90.00 90.00
Sites, in units of the cell vectors:
Mg 0.0000 0.0000 0.2010
Mg 0.0000 0.0000 0.7990
Mg 0.0000 0.5000 0.0000
Mg 0.0000 0.5000 0.5000
Mg 0.5000 0.0000 0.0000
Mg 0.5000 0.0000 0.5000
Mg 0.5000 0.5000 0.2990
Mg 0.5000 0.5000 0.7010
Ge 0.0000 0.0000 0.0000
Ge 0.5000 0.5000 0.5000
Rh 0.0000 0.0000 0.3964
Rh 0.0000 0.0000 0.6036
Rh 0.5000 0.5000 0.1036
Rh 0.5000 0.5000 0.8964

Most intense lines, 5 to 70 degrees two-theta, low angle first:
d_spacing  I_rel
6.529  561
4.549  295
3.431  1000
3.240  266
2.426  715
2.365  172
2.300  912
1.716  243
1.669  664
1.535  182


(4)
Calculated X-ray powder pattern
Compound: Y5Ho2In
Radiation: Cu Kα (weighted mean of Kα1 and Kα2)
Structure: a crystal structure in Alexandria, relaxed with PBE

Atomic structure:
a b c (Å): 7.0398 7.0398 9.9101
angles (deg): 90.00 90.00 90.00
Sites, in units of the cell vectors:
Y 0.0000 0.0000 0.0000
Y 0.2500 0.2500 0.2500
Y 0.2500 0.2500 0.7500
Y 0.2500 0.7500 0.2500
Y 0.2500 0.7500 0.7500
Y 0.5000 0.5000 0.5000
Y 0.7500 0.2500 0.2500
Y 0.7500 0.2500 0.7500
Y 0.7500 0.7500 0.2500
Y 0.7500 0.7500 0.7500
Ho 0.0000 0.5000 0.0000
Ho 0.0000 0.5000 0.5000
Ho 0.5000 0.0000 0.0000
Ho 0.5000 0.0000 0.5000
In 0.0000 0.0000 0.5000
In 0.5000 0.5000 0.0000

Most intense lines, 5 to 70 degrees two-theta, low angle first:
d_spacing  I_rel
4.966  63
3.516  57
2.870  1000
2.489  336
2.478  166
1.760  116
1.756  231
1.500  273
1.495  135
1.435  117


(5)
Calculated X-ray powder pattern
Compound: Mn3Ni13
Radiation: Cu Kα (weighted mean of Kα1 and Kα2)
Structure: a crystal structure in Alexandria, relaxed with PBE

Atomic structure:
a b c (Å): 5.0394 5.0394 8.2110
angles (deg): 90.00 90.00 120.00
Sites, in units of the cell vectors:
Mn 0.0000 0.0000 0.0000
Mn 0.6667 0.3333 0.2474
Mn 0.6667 0.3333 0.7526
Ni 0.0077 0.5039 0.0000
Ni 0.1682 0.3364 0.2522
Ni 0.1682 0.3364 0.7478
Ni 0.1682 0.8318 0.2522
Ni 0.1682 0.8318 0.7478
Ni 0.3279 0.1640 0.5000
Ni 0.3333 0.6667 0.5000
Ni 0.4961 0.5039 0.0000
Ni 0.4961 0.9923 0.0000
Ni 0.6636 0.8318 0.2522
Ni 0.6636 0.8318 0.7478
Ni 0.8360 0.1640 0.5000
Ni 0.8360 0.6721 0.5000

Most intense lines, 5 to 70 degrees two-theta, low angle first:
d_spacing  I_rel
4.364  5
2.182  79
2.109  458
2.053  367
1.927  1000
1.706  226
1.495  43


(6)
Calculated X-ray powder pattern
Compound: LaTh2Os
Radiation: Cu Kα (weighted mean of Kα1 and Kα2)
Structure: a crystal structure in Alexandria, relaxed with PBE

Atomic structure:
a b c (Å): 7.3312 9.8331 6.5380
angles (deg): 90.00 90.00 90.00
Sites, in units of the cell vectors:
La 0.0363 0.2500 0.1390
La 0.4637 0.7500 0.6390
La 0.5363 0.2500 0.3610
La 0.9637 0.7500 0.8610
Th 0.1700 0.0622 0.6647
Th 0.1700 0.4378 0.6647
Th 0.3300 0.5622 0.1647
Th 0.3300 0.9378 0.1647
Th 0.6700 0.0622 0.8353
Th 0.6700 0.4378 0.8353
Th 0.8300 0.5622 0.3353
Th 0.8300 0.9378 0.3353
Os 0.1169 0.7500 0.3971
Os 0.3831 0.2500 0.8971
Os 0.6169 0.7500 0.1029
Os 0.8831 0.2500 0.6029

Most intense lines, 5 to 70 degrees two-theta, low angle first:
d_spacing  I_rel
5.444  432
2.934  919
2.857  893
2.721  749
2.680  1000
2.552  646
2.443  601
2.289  365
1.763  570
1.642  300


What did the fourth record say?
Calculated X-ray powder pattern
Compound: Y5Ho2In
Radiation: Cu Kα (weighted mean of Kα1 and Kα2)
Structure: a crystal structure in Alexandria, relaxed with PBE

Atomic structure:
a b c (Å): 7.0398 7.0398 9.9101
angles (deg): 90.00 90.00 90.00
Sites, in units of the cell vectors:
Y 0.0000 0.0000 0.0000
Y 0.2500 0.2500 0.2500
Y 0.2500 0.2500 0.7500
Y 0.2500 0.7500 0.2500
Y 0.2500 0.7500 0.7500
Y 0.5000 0.5000 0.5000
Y 0.7500 0.2500 0.2500
Y 0.7500 0.2500 0.7500
Y 0.7500 0.7500 0.2500
Y 0.7500 0.7500 0.7500
Ho 0.0000 0.5000 0.0000
Ho 0.0000 0.5000 0.5000
Ho 0.5000 0.0000 0.0000
Ho 0.5000 0.0000 0.5000
In 0.0000 0.0000 0.5000
In 0.5000 0.5000 0.0000

Most intense lines, 5 to 70 degrees two-theta, low angle first:
d_spacing  I_rel
4.966  63
3.516  57
2.870  1000
2.489  336
2.478  166
1.760  116
1.756  231
1.500  273
1.495  135
1.435  117